# Ag3Mo3AsO13
Simulated PXRD pattern, Cu Kα. Input: the GGA+U geometry in Alexandria.
No peak broadening, texture or thermal motion is included.

Top 8 peaks for 10° ≤ 2θ ≤ 90°, in order of rising 2θ:
hkl	d [Å]	I/Imax
2 -2 0	3.248	76.1
2 1 -1	3.226	100.0
0 1 2	3.133	72.1
0 2 -3	3.027	60.9
2 -1 2	2.923	42.4
2 0 -3	2.668	33.5
0 3 -1	2.632	28.1
2 3 -4	1.846	26.4

Structure:
a = 8.2416 Å, b = 8.3723 Å, c = 9.8313 Å
α = 113.84°, β = 96.90°, γ = 105.69°
Space group P-1 (No. 2)
Symmetry-distinct sites (fractional):
Ag (0.0711, 0.3353, 0.0562)
Ag (0.2609, 0.5351, 0.5595)
Ag (0.3739, 0.6439, 0.9217)
Mo (0.1061, 0.9462, 0.7323)
Mo (0.3114, 0.0865, 0.2547)
Mo (0.4813, 0.2097, 0.6395)
As (0.0677, 0.7245, 0.3386)
O (0.0255, 0.2656, 0.5125)
O (0.0606, 0.4602, 0.8335)
O (0.0950, 0.9298, 0.3240)
O (0.1230, 0.1812, 0.2458)
O (0.1862, 0.1386, 0.9186)
O (0.2084, 0.7954, 0.7483)
O (0.2552, 0.8866, 0.0784)
O (0.2577, 0.0683, 0.6382)
O (0.2634, 0.6886, 0.3804)
O (0.4062, 0.3129, 0.5262)
O (0.4464, 0.0061, 0.3755)
O (0.4571, 0.6266, 0.1649)
O (0.4686, 0.2571, 0.2306)